[1]
Dy2HoGe4Pd4: calculated powder XRD pattern (Cu Kα), based on a crystal structure in OQMD, relaxed with PBE.

Atomic structure:
Unit cell a=4.182 b=7.105 c=14.000 alpha=90.00 beta=90.00 gamma=90.00
Space group Immm (No. 71)
Asymmetric unit:
Dy1 0.000 0.000 0.126 (multiplicity 4)
Ho1 0.000 0.500 0.000 (multiplicity 2)
Ge1 0.000 0.312 0.500 (multiplicity 4)
Ge2 0.000 0.500 0.218 (multiplicity 4)
Pd1 0.000 0.201 0.325 (multiplicity 8)

Largest 6 diffraction maxima, by angle, 2θ from 15° to 90°:
hkl  2θ (°)  I/Imax
1 2 1  33.72  1000
0 1 5  34.43  299
1 1 4  35.76  850
0 3 3  42.82  339
2 0 0  43.27  393
1 5 4  75.75  236

[2]
HoRe4SiSn: calculated powder XRD pattern (Cu Kα), based on a crystal structure in OQMD, relaxed with PBE.

Atomic structure:
Unit cell a=4.134 b=4.170 c=14.894 alpha=90.00 beta=90.00 gamma=90.00
Space group Amm2 (No. 38)
Asymmetric unit:
Ho1 0.000 0.000 0.000 (multiplicity 2)
Re1 0.000 0.000 0.327 (multiplicity 2)
Re2 0.000 0.000 0.727 (multiplicity 2)
Re3 0.500 0.000 0.223 (multiplicity 2)
Re4 0.500 0.000 0.831 (multiplicity 2)
Si1 0.500 0.000 0.425 (multiplicity 2)
Sn1 0.500 0.000 0.600 (multiplicity 2)

Largest 6 diffraction maxima, by angle, 2θ from 15° to 90°:
hkl  2θ (°)  I/Imax
1 1 3  35.52  1000
1 1 5  43.27  537
0 2 0  43.40  271
2 0 0  43.80  264
1 1 7  53.16  139
2 2 0  63.36  178

[3]
Gd3Tl4Pb3: calculated powder XRD pattern (Cu Kα), based on a crystal structure in OQMD, relaxed with PBE.

Atomic structure:
Unit cell a=4.698 b=24.926 c=4.774 alpha=90.00 beta=90.00 gamma=90.00
Space group Cmmm (No. 65)
Asymmetric unit:
Gd1 0.000 0.000 0.000 (multiplicity 2)
Gd2 0.000 0.191 0.000 (multiplicity 4)
Tl1 0.000 0.101 0.500 (multiplicity 4)
Tl2 0.000 0.293 0.500 (multiplicity 4)
Pb1 0.000 0.401 0.000 (multiplicity 4)
Pb2 0.000 0.500 0.500 (multiplicity 2)

Largest 6 diffraction maxima, by angle, 2θ from 15° to 90°:
hkl  2θ (°)  I/Imax
1 5 1  32.21  1000
0 10 0  36.03  173
0 0 2  37.69  181
2 0 0  38.32  161
1 5 3  64.61  139
3 5 1  65.47  134

[4]
GdFe6Sn6: calculated powder XRD pattern (Cu Kα), based on a crystal structure in OQMD, relaxed with PBE.

Atomic structure:
Unit cell a=8.943 b=18.695 c=5.413 alpha=90.00 beta=90.00 gamma=90.00
Space group Cmcm (No. 63)
Asymmetric unit:
Gd1 0.000 0.127 0.250 (multiplicity 4)
Fe1 0.247 0.000 0.000 (multiplicity 8)
Fe2 0.248 0.125 0.750 (multiplicity 8)
Fe3 0.250 0.250 0.000 (multiplicity 8)
Sn1 0.000 0.042 0.750 (multiplicity 4)
Sn2 0.000 0.211 0.750 (multiplicity 4)
Sn3 0.000 0.295 0.250 (multiplicity 4)
Sn4 0.000 0.459 0.250 (multiplicity 4)
Sn5 0.163 0.376 0.750 (multiplicity 8)

Largest 6 diffraction maxima, by angle, 2θ from 15° to 90°:
hkl  2θ (°)  I/Imax
0 0 2  33.15  1000
0 4 2  38.46  295
2 0 2  38.94  932
4 0 0  40.34  242
2 8 0  43.65  485
6 0 2  72.41  369